This entry pairs a crystal structure of Nd2InNi2 with its simulated XRD peak list. Radiation: Cu Kα X-rays. Structure: a cell relaxed with GGA-PBE.
Kinematic intensities with the Lorentz-polarization factor, no thermal factor.

Crystal structure
```
Nd2InNi2
1.0
7.591 0.000 0.000
0.000 7.591 0.000
0.000 0.000 3.788
Nd In Ni
4 2 4
Cartesian
1.330 2.466 0.000
2.466 6.261 0.000
5.125 1.330 0.000
6.261 5.125 0.000
0.000 0.000 1.894
3.795 3.795 1.894
0.891 4.686 1.894
2.905 0.891 1.894
4.686 6.700 1.894
6.700 2.905 1.894
```

Principal peaks in the range 10 to 80 degrees two-theta, in order of rising 2θ:
2θ 33.4, intensity 768, (2 0 1)
2θ 35.5, intensity 1000, (2 1 1)
2θ 37.5, intensity 456, (3 1 0)
2θ 48.0, intensity 185, (0 0 2)
2θ 55.5, intensity 215, (4 1 1)
2θ 62.5, intensity 208, (3 1 2)